# 1
Starting from a PBE-relaxed structure, the X-ray powder pattern of Sc2SnAu2 was calculated for Cu Kα X-rays.
Neutral-atom scattering factors, no anomalous dispersion.

Structural model:
Cell: 7.6320 7.6320 7.0768 Å, 90.00 90.00 90.00°
Space group P4_2/mnm (No. 136)
Inequivalent atoms, fractional coordinates:
Sc 0.1487 0.1487 0.0000 [4 per cell]
Sc 0.1859 0.1859 0.5000 [4 per cell]
Sn 0.0000 0.5000 0.2500 [4 per cell]
Au 0.1307 0.8693 0.2865 [8 per cell]

Principal peaks in the range 10° ≤ 2θ ≤ 80°, by intensity:
Position (°2θ)	d (Å)	I_rel	h k l
36.6	2.457	100	2 1 2
37.3	2.413	63	3 1 0
26.1	3.413	56	2 1 0
25.2	3.538	46	0 0 2
45.5	1.994	38	3 1 2
50.2	1.817	20	3 2 2

# 2
Starting from a PBE-relaxed structure, the X-ray powder pattern of SrScAu2 was calculated for Cu Kα X-rays.
Neutral-atom scattering factors, no anomalous dispersion.

Structural model:
Cell: 3.5957 3.5441 7.4216 Å, 90.00 90.09 90.00°
Space group P2/m (No. 10)
Inequivalent atoms, fractional coordinates:
Sr 0.0000 0.0000 0.0000 [1 per cell]
Sc 0.0000 0.0000 0.5000 [1 per cell]
Au 0.5001 0.5000 0.2996 [2 per cell]

Principal peaks in the range 10° ≤ 2θ ≤ 80°, by intensity:
Position (°2θ)	d (Å)	I_rel	h k l
35.6	2.524	100	1 1 0
34.7	2.582	79	1 0 2
35.0	2.563	77	0 1 2
51.7	1.767	33	1 1 3
24.8	3.596	30	1 0 0
25.1	3.544	29	0 1 0

# 3
Starting from a PBE-relaxed structure, the X-ray powder pattern of Sr2ScAu was calculated for Cu Kα X-rays.
Neutral-atom scattering factors, no anomalous dispersion.

Structural model:
Cell: 3.7369 3.7369 9.6702 Å, 90.00 90.00 90.00°
Space group P4mm (No. 99)
Inequivalent atoms, fractional coordinates:
Sr 0.0000 0.0000 0.0000 [1 per cell]
Sr 0.5000 0.5000 0.3668 [1 per cell]
Sc 0.5000 0.5000 0.7164 [1 per cell]
Au 0.0000 0.0000 0.6048 [1 per cell]

Principal peaks in the range 10° ≤ 2θ ≤ 80°, by intensity:
Position (°2θ)	d (Å)	I_rel	h k l
30.2	2.957	100	1 0 2
33.9	2.642	63	1 1 0
36.8	2.441	44	1 0 3
58.4	1.580	31	2 1 2
25.6	3.486	29	1 0 1
44.3	2.044	27	1 1 3

# 4
Starting from a PBE-relaxed structure, the X-ray powder pattern of Sr2ScAu2 was calculated for Cu Kα X-rays.
Neutral-atom scattering factors, no anomalous dispersion.

Structural model:
Cell: 7.7509 7.7509 4.7675 Å, 90.00 90.00 90.00°
Space group P4/mbm (No. 127)
Inequivalent atoms, fractional coordinates:
Sr 0.1680 0.3320 0.0000 [4 per cell]
Sc 0.0000 0.0000 0.5000 [2 per cell]
Au 0.1406 0.6406 0.5000 [4 per cell]

Principal peaks in the range 10° ≤ 2θ ≤ 80°, by intensity:
Position (°2θ)	d (Å)	I_rel	h k l
31.9	2.804	100	2 1 1
36.7	2.451	23	3 1 0
18.6	4.768	17	0 0 1
37.7	2.384	16	0 0 2
16.2	5.481	16	1 1 0
53.6	1.709	16	3 1 2

# 5
Starting from a PBE-relaxed structure, the X-ray powder pattern of ScTaAu2 was calculated for Cu Kα X-rays.
Neutral-atom scattering factors, no anomalous dispersion.

Structural model:
Cell: 3.4496 3.4496 6.2868 Å, 90.00 90.00 90.00°
Space group P4mm (No. 99)
Inequivalent atoms, fractional coordinates:
Sc 0.0000 0.0000 0.0000 [1 per cell]
Ta 0.5000 0.5000 0.2876 [1 per cell]
Au 0.0000 0.0000 0.5080 [1 per cell]
Au 0.5000 0.5000 0.7728 [1 per cell]

Principal peaks in the range 10° ≤ 2θ ≤ 80°, by intensity:
Position (°2θ)	d (Å)	I_rel	h k l
38.8	2.323	100	1 0 2
36.8	2.439	59	1 1 0
67.6	1.385	39	2 1 2
53.1	1.725	21	2 0 0
14.1	6.287	21	0 0 1
71.4	1.321	16	1 1 4

# 6
Starting from a PBE-relaxed structure, the X-ray powder pattern of Sc8Tc2Au was calculated for Cu Kα X-rays.
Neutral-atom scattering factors, no anomalous dispersion.

Structural model:
Cell: 4.8568 14.5618 6.4909 Å, 90.00 90.00 90.00°
Space group Imm2 (No. 44)
Inequivalent atoms, fractional coordinates:
Sc 0.0000 0.0000 0.0000 [2 per cell]
Sc 0.0000 0.1112 0.5742 [4 per cell]
Sc 0.0000 0.2917 0.8959 [4 per cell]
Sc 0.0000 0.3381 0.4282 [4 per cell]
Sc 0.0000 0.5000 0.7879 [2 per cell]
Tc 0.0000 0.1658 0.1972 [4 per cell]
Au 0.0000 0.5000 0.2051 [2 per cell]

Principal peaks in the range 10° ≤ 2θ ≤ 80°, by intensity:
Position (°2θ)	d (Å)	I_rel	h k l
22.9	3.888	100	0 3 1
38.2	2.358	98	1 3 2
37.0	2.428	69	2 0 0
44.0	2.059	53	1 6 1
33.7	2.656	39	1 4 1
26.0	3.433	38	1 3 0

# 7
Starting from a PBE-relaxed structure, the X-ray powder pattern of ScTiAu was calculated for Cu Kα X-rays.
Neutral-atom scattering factors, no anomalous dispersion.

Structural model:
Cell: 3.4289 11.8227 5.9856 Å, 90.00 90.00 90.00°
Space group Cmc2_1 (No. 36)
Inequivalent atoms, fractional coordinates:
Sc 0.0000 0.1880 0.0000 [4 per cell]
Ti 0.0000 0.4985 0.7526 [4 per cell]
Au 0.0000 0.1177 0.5034 [4 per cell]

Principal peaks in the range 10° ≤ 2θ ≤ 80°, by intensity:
Position (°2θ)	d (Å)	I_rel	h k l
21.1	4.206	100	0 2 1
40.7	2.215	62	1 1 2
37.9	2.375	53	1 3 1
34.7	2.587	48	1 3 0
43.0	2.103	35	0 4 2
29.9	2.993	31	0 0 2

# 8
Starting from a PBE-relaxed structure, the X-ray powder pattern of Sc2TiAu6 was calculated for Cu Kα X-rays.
Neutral-atom scattering factors, no anomalous dispersion.

Structural model:
Cell: 13.2260 10.3094 4.9918 Å, 90.00 100.41 90.00°
Space group C2/c (No. 15)
Inequivalent atoms, fractional coordinates:
Sc 0.1673 0.1240 0.0826 [8 per cell]
Ti 0.0000 0.3752 0.2500 [4 per cell]
Au 0.0574 0.1300 0.5227 [8 per cell]
Au 0.1074 0.3781 0.8086 [8 per cell]
Au 0.2183 0.3737 0.3575 [8 per cell]

Principal peaks in the range 10° ≤ 2θ ≤ 80°, by intensity:
Position (°2θ)	d (Å)	I_rel	h k l
37.1	2.424	100	5 1 -1
39.9	2.257	81	4 2 1
34.8	2.577	60	0 4 0
44.9	2.019	58	1 3 -2
22.2	3.999	39	3 1 0
27.0	3.307	31	2 2 -1